No. 1
For La2ScZn3Pt4, a structure optimized by DFT (GGA-PBE) gives the simulated XRD peak list in this record (a wavelength of 1.5418 Å).
Lines closer than 0.1° are merged.

Structural model:
```
data_La2ScZn3Pt4
_cell_length_a 4.185
_cell_length_b 4.185
_cell_length_c 11.547
_cell_angle_alpha 90.00
_cell_angle_beta 90.00
_cell_angle_gamma 90.00
_space_group_name_H-M_alt 'P 1'
_space_group_IT_number 1
_space_group_name_Hall 'P 1'
loop_
_atom_site_label
_atom_site_type_symbol
_atom_site_fract_x
_atom_site_fract_y
_atom_site_fract_z
La1 La 0.000 0.500 0.234
La2 La 0.500 0.000 0.766
Sc1 Sc 0.000 0.000 0.500
Zn1 Zn 0.000 0.500 0.872
Zn2 Zn 0.500 0.000 0.128
Zn3 Zn 0.500 0.500 0.500
Pt1 Pt 0.000 0.000 0.000
Pt2 Pt 0.000 0.500 0.650
Pt3 Pt 0.500 0.000 0.350
Pt4 Pt 0.500 0.500 0.000
```

Top 8 peaks for 10 to 90 degrees two-theta, by angle:
2θ/deg	d/Å	I (rel.)
31.20	2.866	21
31.58	2.833	35
34.05	2.633	100
43.24	2.092	55
43.81	2.066	31
44.83	2.022	31
64.04	1.454	22
73.41	1.290	21


No. 2
For Er8InTe6, a structure optimized by DFT (GGA-PBE) gives the simulated XRD peak list in this record (a wavelength of 1.5418 Å).
Lines closer than 0.1° are merged.

Structural model:
```
data_Er8InTe6
_cell_length_a 11.296
_cell_length_b 11.296
_cell_length_c 4.081
_cell_angle_alpha 90.00
_cell_angle_beta 90.00
_cell_angle_gamma 120.00
_space_group_name_H-M_alt 'P 1'
_space_group_IT_number 1
_space_group_name_Hall 'P 1'
loop_
_atom_site_label
_atom_site_type_symbol
_atom_site_fract_x
_atom_site_fract_y
_atom_site_fract_z
Er1 Er 0.029 0.280 0.244
Er2 Er 0.250 0.971 0.244
Er3 Er 0.280 0.250 0.756
Er4 Er 0.333 0.667 0.755
Er5 Er 0.667 0.333 0.245
Er6 Er 0.720 0.750 0.244
Er7 Er 0.750 0.029 0.756
Er8 Er 0.971 0.720 0.756
In1 In 0.000 0.000 0.500
Te1 Te 0.128 0.657 0.258
Te2 Te 0.343 0.471 0.258
Te3 Te 0.471 0.128 0.742
Te4 Te 0.529 0.872 0.258
Te5 Te 0.657 0.529 0.742
Te6 Te 0.872 0.343 0.742
```

Top 8 peaks for 10 to 90 degrees two-theta, by angle:
2θ/deg	d/Å	I (rel.)
27.35	3.261	24
28.48	3.134	32
32.68	2.740	100
33.01	2.713	30
38.78	2.322	19
42.34	2.135	24
44.39	2.041	14
46.16	1.967	30


No. 3
For Y2TlPb, a structure optimized by DFT (GGA-PBE) gives the simulated XRD peak list in this record (a wavelength of 1.5418 Å).
Lines closer than 0.1° are merged.

Structural model:
```
data_Y2TlPb
_cell_length_a 6.346
_cell_length_b 6.348
_cell_length_c 11.954
_cell_angle_alpha 90.00
_cell_angle_beta 104.88
_cell_angle_gamma 90.00
_space_group_name_H-M_alt 'P 1'
_space_group_IT_number 1
_space_group_name_Hall 'P 1'
loop_
_atom_site_label
_atom_site_type_symbol
_atom_site_fract_x
_atom_site_fract_y
_atom_site_fract_z
Y1 Y 0.183 0.129 0.135
Y2 Y 0.183 0.871 0.635
Y3 Y 0.305 0.376 0.868
Y4 Y 0.305 0.624 0.368
Y5 Y 0.695 0.376 0.632
Y6 Y 0.695 0.624 0.132
Y7 Y 0.817 0.129 0.365
Y8 Y 0.817 0.871 0.865
Tl1 Tl 0.337 0.122 0.405
Tl2 Tl 0.337 0.878 0.905
Tl3 Tl 0.663 0.122 0.095
Tl4 Tl 0.663 0.878 0.595
Pb1 Pb 0.179 0.367 0.596
Pb2 Pb 0.179 0.633 0.096
Pb3 Pb 0.821 0.367 0.904
Pb4 Pb 0.821 0.633 0.404
```

Top 8 peaks for 10 to 90 degrees two-theta, by angle:
2θ/deg	d/Å	I (rel.)
29.16	3.062	100
29.26	3.053	36
30.96	2.888	50
36.53	2.460	37
36.69	2.449	70
36.87	2.438	34
40.19	2.244	74
58.13	1.587	30


No. 4
For Y3Zn8Ir, a structure optimized by DFT (GGA-PBE) gives the simulated XRD peak list in this record (a wavelength of 1.5418 Å).
Lines closer than 0.1° are merged.

Structural model:
```
data_Y3Zn8Ir
_cell_length_a 9.456
_cell_length_b 9.456
_cell_length_c 9.456
_cell_angle_alpha 32.27
_cell_angle_beta 32.27
_cell_angle_gamma 32.27
_space_group_name_H-M_alt 'P 1'
_space_group_IT_number 1
_space_group_name_Hall 'P 1'
loop_
_atom_site_label
_atom_site_type_symbol
_atom_site_fract_x
_atom_site_fract_y
_atom_site_fract_z
Y1 Y 0.000 0.000 0.000
Y2 Y 0.127 0.127 0.127
Y3 Y 0.517 0.517 0.517
Zn1 Zn 0.062 0.567 0.567
Zn2 Zn 0.071 0.071 0.569
Zn3 Zn 0.071 0.569 0.071
Zn4 Zn 0.317 0.317 0.317
Zn5 Zn 0.567 0.062 0.567
Zn6 Zn 0.567 0.567 0.062
Zn7 Zn 0.569 0.071 0.071
Zn8 Zn 0.819 0.819 0.819
Ir1 Ir 0.622 0.622 0.622
```

Top 8 peaks for 10 to 90 degrees two-theta, by angle:
2θ/deg	d/Å	I (rel.)
33.15	2.702	51
34.12	2.628	54
38.93	2.314	81
39.77	2.266	100
40.20	2.243	74
41.92	2.155	65
64.30	1.449	35
71.86	1.314	29